The following is a theoretical PXRD pattern of DyNpHgO6. It was derived from DFT lattice parameters and positions (PBE), using Cu Kα (weighted mean of Kα1 and Kα2).

```
data_DyNpHgO6
_cell_length_a 5.1469
_cell_length_b 5.1469
_cell_length_c 10.3522
_cell_angle_alpha 90.00
_cell_angle_beta 90.00
_cell_angle_gamma 90.00
_symmetry_space_group_name_H-M 'P 1'
_symmetry_Int_Tables_number 1
_symmetry_space_group_name_Hall 'P 1'
loop_
_atom_site_label
_atom_site_type_symbol
_atom_site_fract_x
_atom_site_fract_y
_atom_site_fract_z
Dy1 Dy 0.0000 0.0000 0.0000
Dy2 Dy 0.5000 0.5000 0.5000
Np1 Np 0.0000 0.0000 0.6645
Np2 Np 0.5000 0.5000 0.1645
Hg1 Hg 0.0000 0.0000 0.3305
Hg2 Hg 0.5000 0.5000 0.8305
O1 O 0.1792 0.1792 0.8174
O2 O 0.1940 0.1940 0.5225
O3 O 0.2233 0.2233 0.1568
O4 O 0.2767 0.7233 0.6568
O5 O 0.3060 0.6940 0.0225
O6 O 0.3208 0.6792 0.3174
O7 O 0.6792 0.3208 0.3174
O8 O 0.6940 0.3060 0.0225
O9 O 0.7233 0.2767 0.6568
O10 O 0.7767 0.7767 0.1568
O11 O 0.8060 0.8060 0.5225
O12 O 0.8208 0.8208 0.8174
```

The 10 most intense peaks (15° ≤ 2θ ≤ 90°), in order of rising 2θ:
3.639 Å, 2θ 24.5, intensity 100, (1 1 0); 2.866 Å, 2θ 31.2, intensity 94, (1 0 3); 2.573 Å, 2θ 34.9, intensity 30, (2 0 0); 1.915 Å, 2θ 47.5, intensity 71, (2 1 3); 1.820 Å, 2θ 50.1, intensity 17, (2 2 0); 1.628 Å, 2θ 56.5, intensity 19, (3 1 0); 1.559 Å, 2θ 59.3, intensity 18, (1 1 6); 1.536 Å, 2θ 60.2, intensity 20, (3 0 3); 1.319 Å, 2θ 71.5, intensity 18, (3 2 3); 1.174 Å, 2θ 82.1, intensity 14, (4 1 3)